No. 1
Starting from a structure optimized by DFT (PBE), the powder XRD pattern of Pr2DyMg3Tl2Zn was simulated for Cu Kα (weighted mean of Kα1 and Kα2).
No peak broadening, texture or thermal motion is included.

Crystal structure
a = 4.6818 Å, b = 7.5897 Å, c = 7.5897 Å
α = 119.20°, β = 90.00°, γ = 90.00°
Fractional positions:
Pr (0.0000, 0.2047, 0.7953)
Pr (0.0000, 0.7953, 0.2047)
Dy (0.0000, 0.6137, 0.6137)
Mg (0.5000, 0.2075, 0.4421)
Mg (0.5000, 0.4421, 0.2075)
Mg (0.5000, 0.9744, 0.9744)
Tl (0.5000, 0.5418, 0.8666)
Tl (0.5000, 0.8666, 0.5418)
Zn (0.0000, 0.2161, 0.2161)

Peak list (10 most intense, 15 to 90 degrees two-theta, most intense first)
2θ (°)	I (rel.)
30.3	100
33.1	64
30.1	47
33.4	39
38.5	35
40.9	34
23.4	32
64.6	20
57.4	20
64.9	18

***

No. 2
Starting from a structure optimized by DFT (PBE), the powder XRD pattern of Tb2DyMg3Pt3 was simulated for Cu Kα (weighted mean of Kα1 and Kα2).
No peak broadening, texture or thermal motion is included.

Crystal structure
a = 4.0757 Å, b = 7.3646 Å, c = 7.3646 Å
α = 119.99°, β = 90.00°, γ = 90.00°
Fractional positions:
Tb (0.0000, 0.2052, 0.7948)
Tb (0.0000, 0.7948, 0.2052)
Dy (0.0000, 0.3849, 0.3849)
Mg (0.5000, 0.0398, 0.0398)
Mg (0.5000, 0.5500, 0.7945)
Mg (0.5000, 0.7945, 0.5500)
Pt (0.0000, 0.7942, 0.7942)
Pt (0.5000, 0.1288, 0.4613)
Pt (0.5000, 0.4613, 0.1288)

Peak list (10 most intense, 15 to 90 degrees two-theta, most intense first)
2θ (°)	I (rel.)
35.7	100
32.8	68
24.2	52
42.5	39
43.6	37
25.9	28
68.1	27
63.2	25
44.5	23
56.7	17

***

No. 3
Starting from a structure optimized by DFT (PBE), the powder XRD pattern of Dy3Mg2ZnPt3 was simulated for Cu Kα (weighted mean of Kα1 and Kα2).
No peak broadening, texture or thermal motion is included.

Crystal structure
a = 3.9987 Å, b = 7.3514 Å, c = 7.3514 Å
α = 120.02°, β = 90.00°, γ = 90.00°
Fractional positions:
Dy (0.0000, 0.0000, 0.0000)
Dy (0.0000, 0.1674, 0.5629)
Dy (0.0000, 0.5629, 0.1674)
Mg (0.5000, 0.5778, 0.8201)
Mg (0.5000, 0.8201, 0.5778)
Zn (0.5000, 0.3238, 0.3238)
Pt (0.0000, 0.5691, 0.5691)
Pt (0.5000, 0.2393, 0.9013)
Pt (0.5000, 0.9013, 0.2393)

Peak list (10 most intense, 15 to 90 degrees two-theta, most intense first)
2θ (°)	I (rel.)
36.1	100
33.1	69
24.2	44
42.6	40
43.9	37
68.4	27
64.0	24
45.4	23
26.3	23
37.4	17